[1]
LiNd2H6O6: computed X-ray diffraction stick pattern (copper Kα), based on a cell relaxed with PBE.

Peak list (6 most intense, 2θ from 15° to 90°, sorted by position)
d (Å), I/Imax
3.957, 48
3.094, 100
3.064, 54
2.656, 57
2.517, 65
1.975, 47

Atomic structure:
Unit cell a=6.696 b=3.581 c=7.673 alpha=90.00 beta=112.74 gamma=90.00
Sites, in units of the cell vectors:
Li: 0.000 0.000 0.000
Nd: 0.106 0.000 0.427
Nd: 0.694 0.500 0.639
H: 0.146 0.000 0.804
H: 0.235 0.500 0.162
H: 0.319 0.500 0.758
H: 0.486 0.000 0.303
H: 0.589 0.000 0.913
H: 0.718 0.500 0.255
O: 0.095 0.500 0.178
O: 0.316 0.500 0.628
O: 0.482 0.000 0.430
O: 0.698 0.000 0.856
O: 0.833 0.500 0.382
O: 0.994 0.000 0.711

[2]
TbMg3Tl6: computed X-ray diffraction stick pattern (copper Kα), based on a cell relaxed with PBE.

Peak list (6 most intense, 2θ from 15° to 90°, sorted by position)
d (Å), I/Imax
3.639, 18
2.676, 100
2.644, 24
2.508, 22
1.533, 16
1.478, 18

Atomic structure:
Unit cell a=9.506 b=5.016 c=11.289 alpha=90.00 beta=103.33 gamma=90.00
Sites, in units of the cell vectors:
Tb: 0.054 0.250 0.389
Tb: 0.946 0.750 0.611
Mg: 0.260 0.250 0.002
Mg: 0.348 0.750 0.812
Mg: 0.449 0.250 0.583
Mg: 0.551 0.750 0.417
Mg: 0.652 0.250 0.188
Mg: 0.740 0.750 0.998
Tl: 0.063 0.750 0.913
Tl: 0.141 0.750 0.211
Tl: 0.175 0.250 0.701
Tl: 0.263 0.750 0.515
Tl: 0.368 0.250 0.295
Tl: 0.454 0.750 0.106
Tl: 0.546 0.250 0.894
Tl: 0.632 0.750 0.705
Tl: 0.737 0.250 0.485
Tl: 0.825 0.750 0.299
Tl: 0.859 0.250 0.789
Tl: 0.937 0.250 0.087

[3]
PmAl2ZnPd4: computed X-ray diffraction stick pattern (copper Kα), based on a cell relaxed with PBE.

Peak list (6 most intense, 2θ from 15° to 90°, sorted by position)
d (Å), I/Imax
3.577, 33
2.639, 34
2.459, 64
2.146, 100
2.007, 19
1.239, 19

Atomic structure:
Unit cell a=9.086 b=9.086 c=9.086 alpha=27.33 beta=27.33 gamma=27.33
Sites, in units of the cell vectors:
Pm: 0.000 0.000 0.000
Al: 0.237 0.237 0.237
Al: 0.763 0.763 0.763
Zn: 0.500 0.500 0.500
Pd: 0.132 0.132 0.132
Pd: 0.403 0.403 0.403
Pd: 0.597 0.597 0.597
Pd: 0.868 0.868 0.868

[4]
Y2Zn16Ga: computed X-ray diffraction stick pattern (copper Kα), based on a cell relaxed with PBE.

Peak list (6 most intense, 2θ from 15° to 90°, sorted by position)
d (Å), I/Imax
2.603, 35
2.254, 57
2.236, 100
2.185, 34
2.003, 60
1.301, 22

Atomic structure:
Unit cell a=6.797 b=6.797 c=6.797 alpha=83.09 beta=83.09 gamma=83.09
Sites, in units of the cell vectors:
Y: 0.000 0.000 0.000
Y: 0.331 0.331 0.331
Zn: 0.018 0.018 0.499
Zn: 0.018 0.499 0.018
Zn: 0.171 0.663 0.663
Zn: 0.315 0.315 0.830
Zn: 0.315 0.830 0.315
Zn: 0.363 0.666 0.968
Zn: 0.363 0.968 0.666
Zn: 0.499 0.018 0.018
Zn: 0.569 0.569 0.569
Zn: 0.663 0.171 0.663
Zn: 0.663 0.663 0.171
Zn: 0.666 0.363 0.968
Zn: 0.666 0.968 0.363
Zn: 0.830 0.315 0.315
Zn: 0.968 0.363 0.666
Zn: 0.968 0.666 0.363
Ga: 0.766 0.766 0.766

[5]
FePC3: computed X-ray diffraction stick pattern (copper Kα), based on a cell relaxed with PBE.

Peak list (6 most intense, 2θ from 15° to 90°, sorted by position)
d (Å), I/Imax
4.318, 34
2.872, 100
2.395, 53
2.032, 30
1.882, 18
1.575, 38

Atomic structure:
Unit cell a=2.878 b=3.843 c=4.318 alpha=90.00 beta=90.00 gamma=90.00
Sites, in units of the cell vectors:
Fe: 0.000 0.000 0.000
P: 0.000 0.500 0.265
C: 0.500 0.182 0.746
C: 0.500 0.500 0.553
C: 0.500 0.818 0.746

[6]
Zr2Cl2O: computed X-ray diffraction stick pattern (copper Kα), based on a cell relaxed with PBE.

Peak list (6 most intense, 2θ from 15° to 90°, sorted by position)
d (Å), I/Imax
2.988, 33
2.720, 100
2.455, 36
2.105, 24
1.782, 21
1.746, 15

Atomic structure:
Unit cell a=10.014 b=10.014 c=6.219 alpha=94.55 beta=94.55 gamma=20.07
Sites, in units of the cell vectors:
Zr: 0.184 0.184 0.369
Zr: 0.314 0.314 0.097
Zr: 0.686 0.686 0.903
Zr: 0.816 0.816 0.631
Cl: 0.095 0.095 0.710
Cl: 0.405 0.405 0.803
Cl: 0.595 0.595 0.197
Cl: 0.905 0.905 0.290
O: 0.293 0.293 0.430
O: 0.707 0.707 0.570